Diffraction record for SrWO2. The PXRD pattern is simulated, not measured: it uses a PBE+U-relaxed structure and Cu Ka.

Cell and atoms:
Cell: 6.5649 6.5649 12.3122 Å, 90.00 90.00 90.00°
Space group I4_1/amd (No. 141, origin choice 2)
Symmetry-distinct sites (fractional):
Sr 0.0000 0.0000 0.0000 x8
W 0.0000 0.0000 0.5000 x8
O 0.0000 0.0380 0.2077 x16

Principal peaks in the range 2θ = 15–90°, in order of rising 2θ:
15.30 deg, 5.793 Å, rel. 183, hkl 1 0 1
29.01 deg, 3.078 Å, rel. 414, hkl 0 0 4
30.87 deg, 2.896 Å, rel. 1000, hkl 2 0 2
38.80 deg, 2.321 Å, rel. 413, hkl 2 2 0
49.16 deg, 1.853 Å, rel. 376, hkl 2 2 4
52.60 deg, 1.740 Å, rel. 282, hkl 2 0 6
56.03 deg, 1.641 Å, rel. 136, hkl 4 0 0
64.33 deg, 1.448 Å, rel. 165, hkl 4 0 4
65.35 deg, 1.428 Å, rel. 260, hkl 4 2 2
80.44 deg, 1.194 Å, rel. 166, hkl 4 2 6

Diffraction record for Li2Mn3O6. The PXRD pattern is simulated, not measured: it uses a PBE+U-relaxed structure and Cu Ka.

Cell and atoms:
Cell: 5.3927 8.6099 5.2936 Å, 90.00 112.25 90.00°
Space group C2/m (No. 12)
Symmetry-distinct sites (fractional):
Li 0.0000 0.1723 0.0000 x4
Mn 0.0000 0.0000 0.5000 x2
Mn 0.0000 0.3330 0.5000 x4
O 0.2087 0.1679 0.7257 x8
O 0.2438 0.0000 0.3032 x4

Principal peaks in the range 2θ = 15–90°, in order of rising 2θ:
18.11 deg, 4.899 Å, rel. 1000, hkl 0 0 1
33.57 deg, 2.670 Å, rel. 179, hkl 2 0 -1
36.10 deg, 2.488 Å, rel. 207, hkl 1 3 0
37.32 deg, 2.410 Å, rel. 63, hkl 1 3 -1
40.68 deg, 2.218 Å, rel. 251, hkl 2 0 -2
43.81 deg, 2.066 Å, rel. 404, hkl 1 3 1
46.88 deg, 1.938 Å, rel. 84, hkl 1 3 -2
57.57 deg, 1.601 Å, rel. 99, hkl 1 3 2
60.84 deg, 1.522 Å, rel. 122, hkl 3 3 -1
61.79 deg, 1.501 Å, rel. 114, hkl 1 3 -3

Diffraction record for MnSbO4. The PXRD pattern is simulated, not measured: it uses a PBE+U-relaxed structure and Cu Ka.

Cell and atoms:
Cell: 5.2803 3.0272 5.7214 Å, 90.00 114.91 90.00°
Space group P2/m (No. 10)
Symmetry-distinct sites (fractional):
Mn 0.0000 0.0000 0.0000 x1
Sb 0.0000 0.5000 0.5000 x1
O 0.1685 0.5000 0.2370 x2
O 0.2383 0.0000 0.7137 x2

Principal peaks in the range 2θ = 15–90°, in order of rising 2θ:
17.09 deg, 5.189 Å, rel. 142, hkl 0 0 1
18.53 deg, 4.789 Å, rel. 1000, hkl 1 0 0
31.55 deg, 2.836 Å, rel. 214, hkl 1 0 -2
34.30 deg, 2.615 Å, rel. 298, hkl 0 1 1
35.45 deg, 2.532 Å, rel. 127, hkl 1 1 -1
38.99 deg, 2.310 Å, rel. 196, hkl 2 0 -2
42.78 deg, 2.114 Å, rel. 310, hkl 1 1 1
45.62 deg, 1.989 Å, rel. 113, hkl 2 1 -1
57.18 deg, 1.611 Å, rel. 120, hkl 1 1 -3
61.26 deg, 1.513 Å, rel. 131, hkl 0 2 0

Diffraction record for Li9Mn2Co5O16. The PXRD pattern is simulated, not measured: it uses a PBE+U-relaxed structure and Cu Ka.

Cell and atoms:
Cell: 5.1989 2.8879 19.4317 Å, 90.00 96.72 90.00°
Space group Pm (No. 6)
Symmetry-distinct sites (fractional):
Li 0.0000 0.0000 0.0000 x1
Li 0.0017 0.5000 0.4956 x1
Li 0.2339 0.5000 0.2565 x1
Li 0.2399 0.0000 0.7469 x1
Li 0.4860 0.5000 0.9989 x1
Li 0.4917 0.0000 0.4982 x1
Li 0.6163 0.5000 0.3748 x1
Li 0.7369 0.0000 0.2533 x1
Li 0.7542 0.5000 0.7460 x1
Mn 0.3658 0.0000 0.1272 x1
Mn 0.6205 0.0000 0.8738 x1
Co 0.1169 0.0000 0.3746 x1
Co 0.1187 0.5000 0.8739 x1
Co 0.3683 0.5000 0.6233 x1
Co 0.8642 0.5000 0.1248 x1
Co 0.8681 0.0000 0.6216 x1
O 0.0215 0.0000 0.1811 x1
O 0.0547 0.5000 0.6806 x1
O 0.1857 0.0000 0.5663 x1
O 0.2039 0.5000 0.0687 x1
O 0.2862 0.5000 0.4292 x1
O 0.2869 0.0000 0.9347 x1
O 0.3790 0.0000 0.3211 x1
O 0.4425 0.5000 0.8177 x1
O 0.5307 0.5000 0.1853 x1
O 0.5562 0.0000 0.6804 x1
O 0.6798 0.5000 0.5628 x1
O 0.7049 0.0000 0.0681 x1
O 0.7941 0.5000 0.9307 x1
O 0.8580 0.0000 0.4271 x1
O 0.9488 0.5000 0.3192 x1
O 0.9522 0.0000 0.8142 x1

Principal peaks in the range 2θ = 15–90°, in order of rising 2θ:
18.39 deg, 4.825 Å, rel. 1000, hkl 0 0 4
34.91 deg, 2.570 Å, rel. 162, hkl 2 0 -2
36.21 deg, 2.481 Å, rel. 258, hkl 1 1 1
37.57 deg, 2.394 Å, rel. 82, hkl 1 1 -3
42.25 deg, 2.139 Å, rel. 296, hkl 2 0 -6
44.02 deg, 2.057 Å, rel. 534, hkl 1 1 5
47.47 deg, 1.915 Å, rel. 96, hkl 1 1 -7
58.05 deg, 1.589 Å, rel. 93, hkl 1 1 9
62.52 deg, 1.486 Å, rel. 153, hkl 3 1 -1
62.78 deg, 1.480 Å, rel. 151, hkl 1 1 -11

Diffraction record for HfCrO3. The PXRD pattern is simulated, not measured: it uses a PBE+U-relaxed structure and Cu Ka.

Cell and atoms:
Cell: 5.3292 9.3619 4.9068 Å, 90.00 90.00 90.00°
Space group Pnma (No. 62)
Symmetry-distinct sites (fractional):
Hf 0.0436 0.2500 0.0483 x4
Cr 0.0000 0.0000 0.5000 x4
O 0.1402 0.7500 0.3063 x4
O 0.2212 0.6043 0.7860 x8

Principal peaks in the range 2θ = 15–90°, in order of rising 2θ:
18.96 deg, 4.681 Å, rel. 312, hkl 0 2 0
24.66 deg, 3.610 Å, rel. 216, hkl 1 0 1
31.29 deg, 2.859 Å, rel. 1000, hkl 1 2 1
33.63 deg, 2.665 Å, rel. 132, hkl 2 0 0
38.46 deg, 2.341 Å, rel. 158, hkl 0 4 0
41.66 deg, 2.168 Å, rel. 112, hkl 1 1 2
50.57 deg, 1.805 Å, rel. 118, hkl 2 0 2
52.00 deg, 1.758 Å, rel. 133, hkl 2 4 0
58.69 deg, 1.573 Å, rel. 108, hkl 3 2 1
65.12 deg, 1.432 Å, rel. 148, hkl 1 6 1